# 1
For Ce2Re3Si5, a crystal structure in the Materials Project, relaxed with GGA-PBE gives the simulated X-ray diffraction stick pattern in this record (Cu Kα, 1.54184 Å).
Intensities are scaled so that the largest is 1000.

Cell and atoms:
abc: 11.0151 11.0151 5.6325
angles: 90.00 90.00 90.00
Atoms (fractional coordinates):
Ce  0.0750  0.2374  0.0000
Ce  0.2374  0.9250  0.0000
Ce  0.2626  0.4250  0.5000
Ce  0.4250  0.7374  0.5000
Ce  0.5750  0.2626  0.5000
Ce  0.7374  0.5750  0.5000
Ce  0.7626  0.0750  0.0000
Ce  0.9250  0.7626  0.0000
Re  0.0000  0.5000  0.2500
Re  0.0000  0.5000  0.7500
Re  0.1240  0.8556  0.5000
Re  0.1444  0.1240  0.5000
Re  0.3556  0.6240  0.0000
Re  0.3760  0.3556  0.0000
Re  0.5000  0.0000  0.2500
Re  0.5000  0.0000  0.7500
Re  0.6240  0.6444  0.0000
Re  0.6444  0.3760  0.0000
Re  0.8556  0.8760  0.5000
Re  0.8760  0.1444  0.5000
Si  0.0000  0.0000  0.2508
Si  0.0000  0.0000  0.7492
Si  0.0248  0.3161  0.5000
Si  0.1733  0.6733  0.2500
Si  0.1733  0.6733  0.7500
Si  0.1839  0.4752  0.0000
Si  0.3161  0.9752  0.5000
Si  0.3267  0.1733  0.2500
Si  0.3267  0.1733  0.7500
Si  0.4752  0.8161  0.0000
Si  0.5000  0.5000  0.2492
Si  0.5000  0.5000  0.7508
Si  0.5248  0.1839  0.0000
Si  0.6733  0.8267  0.2500
Si  0.6733  0.8267  0.7500
Si  0.6839  0.0248  0.5000
Si  0.8161  0.5248  0.0000
Si  0.8267  0.3267  0.2500
Si  0.8267  0.3267  0.7500
Si  0.9752  0.6839  0.5000

Most intense lines, 2θ from 5° to 70°, in order of rising 2θ:
2theta  I_rel
17.69  338
25.57  1000
29.03  345
30.17  667
33.85  462
36.48  485
37.25  852
39.49  532
44.14  339
46.10  344
47.64  392
60.22  325

=====

# 2
For LuBi2ClO4, a crystal structure in the Materials Project, relaxed with GGA-PBE gives the simulated X-ray diffraction stick pattern in this record (Cu Kα, 1.54184 Å).
Intensities are scaled so that the largest is 1000.

Cell and atoms:
abc: 3.8572 3.8572 9.0152
angles: 90.00 90.00 90.00
Atoms (fractional coordinates):
Lu  0.0000  0.0000  0.0000
Bi  0.5000  0.5000  0.2757
Bi  0.5000  0.5000  0.7243
Cl  0.0000  0.0000  0.5000
O  0.0000  0.5000  0.1484
O  0.0000  0.5000  0.8516
O  0.5000  0.0000  0.1484
O  0.5000  0.0000  0.8516

Most intense lines, 2θ from 5° to 70°, in order of rising 2θ:
2theta  I_rel
9.81  119
23.06  109
25.11  183
30.50  1000
32.84  351
40.00  79
44.88  148
47.12  196
52.68  209
56.32  98
57.18  345
63.49  86

=====

# 3
For H3AuC2NCl, a crystal structure in the Materials Project, relaxed with GGA-PBE gives the simulated X-ray diffraction stick pattern in this record (Cu Kα, 1.54184 Å).
Intensities are scaled so that the largest is 1000.

Cell and atoms:
abc: 4.4335 6.6233 9.2618
angles: 90.00 91.20 90.00
Atoms (fractional coordinates):
H  0.1034  0.0000  0.4237
H  0.1064  0.2704  0.6022
H  0.2657  0.5086  0.6580
H  0.7343  0.0086  0.3420
H  0.8936  0.7704  0.3978
H  0.8966  0.5000  0.5763
Au  0.3571  0.8874  0.9132
Au  0.6429  0.3874  0.0868
C  0.0573  0.4195  0.6474
C  0.1793  0.8886  0.1016
C  0.8207  0.3886  0.8984
C  0.9427  0.9195  0.3526
N  0.0709  0.8974  0.2152
N  0.9291  0.3974  0.7848
Cl  0.4407  0.3955  0.3119
Cl  0.5593  0.8955  0.6881

Most intense lines, 2θ from 5° to 70°, in order of rising 2θ:
2theta  I_rel
9.55  1000
16.46  274
22.05  158
23.44  248
24.16  255
26.19  671
26.92  314
28.63  186
31.29  155
31.99  172
35.07  167
47.12  170

=====

# 4
For EuB2S4, a crystal structure in the Materials Project, relaxed with GGA-PBE gives the simulated X-ray diffraction stick pattern in this record (Cu Kα, 1.54184 Å).
Intensities are scaled so that the largest is 1000.

Cell and atoms:
abc: 6.4576 14.1523 6.1217
angles: 90.00 109.77 90.00
Atoms (fractional coordinates):
Eu  0.1920  0.1031  0.3019
Eu  0.1920  0.3969  0.8019
Eu  0.8080  0.6031  0.1981
Eu  0.8080  0.8969  0.6981
B  0.2680  0.7276  0.8197
B  0.2680  0.7724  0.3197
B  0.4660  0.5837  0.5696
B  0.4660  0.9163  0.0696
B  0.5340  0.0837  0.9304
B  0.5340  0.4163  0.4304
B  0.7320  0.2276  0.6803
B  0.7320  0.2724  0.1803
S  0.0809  0.7394  0.0063
S  0.0809  0.7606  0.5063
S  0.2646  0.0076  0.8597
S  0.2646  0.4924  0.3597
S  0.3723  0.5991  0.8329
S  0.3723  0.9009  0.3329
S  0.4721  0.1962  0.0610
S  0.4721  0.3038  0.5610
S  0.5279  0.6962  0.4390
S  0.5279  0.8038  0.9390
S  0.6277  0.0991  0.6671
S  0.6277  0.4009  0.1671
S  0.7354  0.5076  0.6403
S  0.7354  0.9924  0.1403
S  0.9191  0.2394  0.4937
S  0.9191  0.2606  0.9937

Most intense lines, 2θ from 5° to 70°, in order of rising 2θ:
2theta  I_rel
18.37  554
19.87  1000
21.37  579
23.88  980
25.43  759
29.46  636
32.09  406
35.14  599
35.52  444
36.23  770
40.00  476
40.43  564

=====

# 5
For UBe13, a crystal structure in the Materials Project, relaxed with GGA-PBE gives the simulated X-ray diffraction stick pattern in this record (Cu Kα, 1.54184 Å).
Intensities are scaled so that the largest is 1000.

Cell and atoms:
abc: 7.1747 7.1747 7.1747
angles: 60.00 60.00 60.00
Atoms (fractional coordinates):
U  0.2500  0.2500  0.2500
U  0.7500  0.7500  0.7500
Be  0.0000  0.0000  0.0000
Be  0.0597  0.2924  0.7076
Be  0.0597  0.7076  0.9403
Be  0.0597  0.9403  0.2924
Be  0.2076  0.4403  0.7924
Be  0.2076  0.5597  0.4403
Be  0.2076  0.7924  0.5597
Be  0.2924  0.0597  0.9403
Be  0.2924  0.7076  0.0597
Be  0.2924  0.9403  0.7076
Be  0.4403  0.2076  0.5597
Be  0.4403  0.5597  0.7924
Be  0.4403  0.7924  0.2076
Be  0.5000  0.5000  0.5000
Be  0.5597  0.2076  0.7924
Be  0.5597  0.4403  0.2076
Be  0.5597  0.7924  0.4403
Be  0.7076  0.0597  0.2924
Be  0.7076  0.2924  0.9403
Be  0.7076  0.9403  0.0597
Be  0.7924  0.2076  0.4403
Be  0.7924  0.4403  0.5597
Be  0.7924  0.5597  0.2076
Be  0.9403  0.0597  0.7076
Be  0.9403  0.2924  0.0597
Be  0.9403  0.7076  0.2924

Most intense lines, 2θ from 5° to 70°, in order of rising 2θ:
2theta  I_rel
17.48  969
24.82  1000
30.52  428
35.39  221
39.73  697
43.70  576
50.91  139
54.24  260
57.44  249
60.53  178
66.44  166
69.30  283

=====

# 6
For CeCo2B2C, a crystal structure in the Materials Project, relaxed with GGA-PBE gives the simulated X-ray diffraction stick pattern in this record (Cu Kα, 1.54184 Å).
Intensities are scaled so that the largest is 1000.

Cell and atoms:
abc: 3.6342 3.6342 9.9663
angles: 90.00 90.00 90.00
Atoms (fractional coordinates):
Ce  0.0000  0.0000  0.0000
Ce  0.5000  0.5000  0.5000
Co  0.0000  0.5000  0.2500
Co  0.0000  0.5000  0.7500
Co  0.5000  0.0000  0.2500
Co  0.5000  0.0000  0.7500
B  0.0000  0.0000  0.3474
B  0.0000  0.0000  0.6526
B  0.5000  0.5000  0.1526
B  0.5000  0.5000  0.8474
C  0.0000  0.0000  0.5000
C  0.5000  0.5000  0.0000

Most intense lines, 2θ from 5° to 70°, in order of rising 2θ:
2theta  I_rel
17.80  9
26.10  569
34.91  17
36.05  307
36.65  355
39.45  1000
50.21  278
52.35  103
57.45  141
63.35  223
63.75  140
67.09  218